Starting from a PBE-relaxed structure, the powder XRD pattern of AgPd3S was computed for Cu Ka.
No peak broadening, texture or thermal motion is included.

Crystal structure
a = 5.771 Å, b = 6.850 Å, c = 4.518 Å
α = 90.00°, β = 90.00°, γ = 90.00°
Space group Pma2 (No. 28)
Asymmetric unit:
Ag (0.250, 0.205, 0.000) (multiplicity 2)
Pd (0.000, 0.000, 0.512) (multiplicity 2)
Pd (0.000, 0.500, 0.317) (multiplicity 2)
Pd (0.250, 0.795, 0.010) (multiplicity 2)
S (0.250, 0.728, 0.517) (multiplicity 2)

Largest 6 diffraction maxima, low angle first, 2θ = 5–70°:
2theta, I_rel, index
32.81, 1000, 0 2 1
36.96, 874, 2 0 1
39.31, 344, 2 1 1
40.89, 999, 2 2 0
42.12, 322, 0 1 2
44.46, 298, 0 3 1